No. 1
Computed powder XRD pattern of CaC4O4 for Cu Kα (weighted mean of Kα1 and Kα2), from a cell relaxed with GGA-PBE.

Main lines, low angle first (2θ from 10° to 90°):
d [Å]	intensity
5.780	27
3.489	100
3.085	21
2.579	24
2.467	10
2.269	16
2.074	16
2.029	20
1.927	17
1.567	13

Cell and atoms:
```
CaC4O4
1.0
-3.489 3.489 5.158
3.489 -3.489 5.158
3.489 3.489 -5.158
Ca C O
2 8 8
Direct
0.375 0.625 0.750
0.625 0.375 0.250
0.066 0.816 0.250
0.074 0.324 0.750
0.184 0.934 0.250
0.324 0.074 0.250
0.676 0.926 0.750
0.816 0.066 0.750
0.926 0.676 0.250
0.934 0.184 0.750
0.027 0.617 0.410
0.293 0.383 0.910
0.383 0.293 0.410
0.383 0.973 0.090
0.617 0.027 0.910
0.617 0.707 0.590
0.707 0.617 0.090
0.973 0.383 0.590
```

No. 2
Computed powder XRD pattern of La3Ge3Ru for Cu Kα (weighted mean of Kα1 and Kα2), from a cell relaxed with GGA-PBE.

Main lines, low angle first (2θ from 10° to 90°):
d [Å]	intensity
2.881	100
2.860	35
2.841	77
2.825	76
2.542	45
2.435	28
2.334	66
2.262	35
2.226	68
1.533	31

Cell and atoms:
```
La3Ge3Ru
1.0
5.720 -2.226 0.000
5.720 2.226 0.000
-5.504 0.000 13.572
La Ge Ru
6 6 2
Direct
0.026 0.026 0.379
0.099 0.099 0.920
0.249 0.249 0.230
0.751 0.751 0.770
0.901 0.901 0.080
0.974 0.974 0.621
0.352 0.352 0.454
0.385 0.385 0.925
0.442 0.442 0.757
0.558 0.558 0.243
0.615 0.615 0.075
0.648 0.648 0.546
0.258 0.258 0.583
0.742 0.742 0.417
```

No. 3
Computed powder XRD pattern of SrGa3Hg for Cu Kα (weighted mean of Kα1 and Kα2), from a cell relaxed with GGA-PBE.

Main lines, low angle first (2θ from 10° to 90°):
d [Å]	intensity
4.175	60
3.165	35
2.926	85
2.778	100
2.238	76
2.138	52
2.060	52
1.777	40
1.515	39
1.375	23

Cell and atoms:
```
SrGa3Hg
1.0
0.000 3.168 5.799
3.161 0.000 5.799
3.161 3.168 0.000
Sr Ga Hg
1 3 1
Direct
0.000 0.000 0.000
0.258 0.258 0.242
0.384 0.384 0.616
0.758 0.758 0.742
0.614 0.614 0.386
```

No. 4
Computed powder XRD pattern of CaTb4Sm2Y for Cu Kα (weighted mean of Kα1 and Kα2), from a cell relaxed with GGA-PBE.

Main lines, low angle first (2θ from 10° to 90°):
d [Å]	intensity
3.344	69
3.000	49
2.976	100
2.233	43
2.223	88
1.536	11
1.533	13
1.525	15
1.460	11
1.458	23

Cell and atoms:
```
CaTb4Sm2Y
1.0
6.902 -6.688 0.000
6.902 6.688 0.000
-3.389 0.000 5.959
Ca Tb Sm Y
2 8 4 2
Direct
0.000 0.000 0.000
0.000 0.000 0.500
0.242 0.736 0.987
0.264 0.266 0.525
0.264 0.758 0.513
0.266 0.264 0.025
0.734 0.736 0.975
0.736 0.242 0.487
0.736 0.734 0.475
0.758 0.264 0.013
0.000 0.500 0.500
0.500 0.000 0.000
0.500 0.500 0.000
0.500 0.500 0.500
0.000 0.500 0.000
0.500 0.000 0.500
```

No. 5
Computed powder XRD pattern of HoGa6Ni4 for Cu Kα (weighted mean of Kα1 and Kα2), from a cell relaxed with GGA-PBE.

Main lines, low angle first (2θ from 10° to 90°):
d [Å]	intensity
2.602	35
2.388	100
2.274	42
1.968	20
1.964	28
1.786	21
1.737	22
1.536	13
1.486	21
1.302	23

Cell and atoms:
```
HoGa6Ni4
1.0
6.948 0.000 0.000
-3.474 6.017 0.000
0.000 0.000 3.928
Ho Ga Ni
1 6 4
Direct
0.000 0.000 0.000
0.069 0.534 0.000
0.392 0.196 0.500
0.466 0.534 0.000
0.466 0.931 0.000
0.804 0.196 0.500
0.804 0.608 0.500
0.208 0.417 0.500
0.208 0.792 0.500
0.583 0.792 0.500
0.667 0.333 0.000
```

No. 6
Computed powder XRD pattern of CuH11C5NO6 for Cu Kα (weighted mean of Kα1 and Kα2), from a cell relaxed with GGA-PBE.

Main lines, low angle first (2θ from 10° to 90°):
d [Å]	intensity
6.423	100
5.699	29
4.554	25
4.529	29
4.416	61
4.125	33
3.874	26
3.211	37
2.882	40
2.208	19

Cell and atoms:
```
CuH11C5NO6
1.0
6.973 -4.529 0.000
6.973 4.529 0.000
-5.274 0.000 7.478
Cu H C N O
2 22 10 2 12
Direct
0.000 0.500 0.000
0.500 0.000 0.500
0.055 0.816 0.741
0.109 0.694 0.469
0.165 0.835 0.250
0.184 0.945 0.759
0.234 0.525 0.578
0.262 0.301 0.714
0.301 0.262 0.214
0.306 0.891 0.031
0.334 0.643 0.911
0.357 0.666 0.589
0.475 0.766 0.922
0.525 0.234 0.078
0.643 0.334 0.411
0.666 0.357 0.089
0.694 0.109 0.969
0.699 0.738 0.786
0.738 0.699 0.286
0.766 0.475 0.422
0.816 0.055 0.241
0.835 0.165 0.750
0.891 0.306 0.531
0.945 0.184 0.259
0.166 0.262 0.211
0.224 0.664 0.585
0.262 0.166 0.711
0.287 0.713 0.250
0.336 0.776 0.915
0.664 0.224 0.085
0.713 0.287 0.750
0.738 0.834 0.289
0.776 0.336 0.415
0.834 0.738 0.789
0.190 0.810 0.750
0.810 0.190 0.250
0.014 0.359 0.130
0.168 0.169 0.787
0.169 0.168 0.287
0.257 0.548 0.163
0.359 0.014 0.630
0.452 0.743 0.337
0.548 0.257 0.663
0.641 0.986 0.370
0.743 0.452 0.837
0.831 0.832 0.713
0.832 0.831 0.213
0.986 0.641 0.870
```